Simulated powder diffraction line list of Rb4TmI6 for Cu Kα (weighted mean of Kα1 and Kα2), from DFT lattice parameters and positions (PBE).
No peak broadening, texture or thermal motion is included.

Unit cell a=10.195 b=10.195 c=10.195 alpha=90.16 beta=90.16 gamma=90.16
Sites, in units of the cell vectors:
Rb1 0.130 0.750 0.370
Rb2 0.250 0.250 0.250
Rb3 0.250 0.630 0.870
Rb4 0.370 0.130 0.750
Rb5 0.630 0.870 0.250
Rb6 0.750 0.370 0.130
Rb7 0.750 0.750 0.750
Rb8 0.870 0.250 0.630
Tm1 0.000 0.000 0.000
Tm2 0.500 0.500 0.500
I1 0.057 0.933 0.711
I2 0.067 0.289 0.943
I3 0.211 0.433 0.557
I4 0.289 0.943 0.067
I5 0.433 0.557 0.211
I6 0.443 0.789 0.567
I7 0.557 0.211 0.433
I8 0.567 0.443 0.789
I9 0.711 0.057 0.933
I10 0.789 0.567 0.443
I11 0.933 0.711 0.057
I12 0.943 0.067 0.289

Principal peaks in the range 10 to 90 degrees two-theta, low angle first:
d 7.208, 2θ = 12.3°, intensity 78.2
d 4.162, 2θ = 21.3°, intensity 20.3
d 3.403, 2θ = 26.2°, intensity 52.2
d 3.223, 2θ = 27.7°, intensity 92.0
d 3.075, 2θ = 29.0°, intensity 100.0
d 2.935, 2θ = 30.5°, intensity 18.5
d 2.727, 2θ = 32.8°, intensity 24.5
d 2.404, 2θ = 37.4°, intensity 30.2
d 2.084, 2θ = 43.4°, intensity 21.9
d 2.036, 2θ = 44.5°, intensity 16.9
d 1.895, 2θ = 48.0°, intensity 21.4
d 1.655, 2θ = 55.5°, intensity 24.1